Diffraction record for Rb3AgI2Br6. The powder diffraction line list is theoretical, not measured: it uses a structure optimized by DFT (GGA-PBE) and copper Kα.
Lines closer than 0.1° are merged.

Atomic structure:
a b c (Å): 7.791 7.791 8.816
angles (deg): 90.00 90.00 120.00
Positions (direct):
Rb 0.000 0.000 0.000
Rb 0.333 0.667 0.630
Rb 0.667 0.333 0.370
Ag 0.000 0.000 0.500
I 0.333 0.667 0.064
I 0.667 0.333 0.936
Br 0.158 0.315 0.322
Br 0.158 0.842 0.322
Br 0.315 0.158 0.678
Br 0.685 0.842 0.322
Br 0.842 0.158 0.678
Br 0.842 0.685 0.678

Most intense lines, 2θ from 5° to 70°, by angle:
- 2θ 16.5, I 30.3, (1 0 1)
- 2θ 22.8, I 59.9, (1 1 0)
- 2θ 28.3, I 53.3, (0 2 1)
- 2θ 30.6, I 55.9, (1 1 2)
- 2θ 33.4, I 100.0, (2 0 2)
- 2θ 46.6, I 48.3, (2 2 0)